Record 1
Structure and simulated powder diffractogram of KBa2Se (a crystal structure in Alexandria, relaxed with PBE; λ = 1.5418 Å (Cu Kα)).

Most intense lines, 2θ = 10–90°, low angle first:
2θ = 20.86°, 4.259 Å, intensity 81
2θ = 22.78°, 3.904 Å, intensity 57
2θ = 24.70°, 3.604 Å, intensity 71
2θ = 27.59°, 3.233 Å, intensity 100
2θ = 28.64°, 3.117 Å, intensity 39
2θ = 36.07°, 2.490 Å, intensity 69
2θ = 39.41°, 2.286 Å, intensity 38
2θ = 41.61°, 2.170 Å, intensity 37
2θ = 43.40°, 2.085 Å, intensity 27
2θ = 46.00°, 1.973 Å, intensity 34

Atomic structure:
```
KBa2Se
1.0
4.5724 0.0000 0.0000
0.0000 4.5724 0.0000
0.0000 0.0000 11.7130
K Ba Se
1 2 1
Direct
0.0000 0.0000 0.0000 K
0.0000 0.0000 0.4062 Ba
0.5000 0.5000 0.7069 Ba
0.5000 0.5000 0.4360 Se
```

***

Record 2
Structure and simulated powder diffractogram of K2BaSn2Se4 (a crystal structure in Alexandria, relaxed with PBE; λ = 1.5418 Å (Cu Kα)).

Most intense lines, 2θ = 10–90°, low angle first:
2θ = 11.47°, 7.714 Å, intensity 95
2θ = 25.50°, 3.493 Å, intensity 68
2θ = 28.72°, 3.108 Å, intensity 57
2θ = 29.79°, 2.999 Å, intensity 100
2θ = 31.57°, 2.834 Å, intensity 23
2θ = 35.40°, 2.536 Å, intensity 18
2θ = 40.31°, 2.237 Å, intensity 27
2θ = 41.78°, 2.162 Å, intensity 28
2θ = 43.36°, 2.087 Å, intensity 27
2θ = 51.49°, 1.775 Å, intensity 22

Atomic structure:
```
K2BaSn2Se4
1.0
9.2694 -2.1620 0.0000
9.2694 2.1620 0.0000
-3.8975 0.0000 7.7138
K Ba Sn Se
2 1 2 4
Direct
0.1181 0.1181 0.0528 K
0.8819 0.8819 0.9472 K
0.0000 0.0000 0.5000 Ba
0.3027 0.3027 0.4469 Sn
0.6973 0.6973 0.5531 Sn
0.1917 0.1917 0.7588 Se
0.4485 0.4485 0.7217 Se
0.5515 0.5515 0.2783 Se
0.8083 0.8083 0.2412 Se
```

***

Record 3
Structure and simulated powder diffractogram of K2BaTeSe (a crystal structure in Alexandria, relaxed with PBE; λ = 1.5418 Å (Cu Kα)).

Most intense lines, 2θ = 10–90°, low angle first:
2θ = 21.31°, 4.170 Å, intensity 81
2θ = 25.45°, 3.500 Å, intensity 100
2θ = 27.71°, 3.220 Å, intensity 44
2θ = 30.31°, 2.949 Å, intensity 93
2θ = 35.22°, 2.548 Å, intensity 60
2θ = 41.53°, 2.175 Å, intensity 58
2θ = 43.40°, 2.085 Å, intensity 33
2θ = 50.98°, 1.791 Å, intensity 28
2θ = 52.27°, 1.750 Å, intensity 29
2θ = 57.07°, 1.614 Å, intensity 30

Atomic structure:
```
K2BaTeSe
1.0
5.8974 0.0000 0.0000
0.0000 5.8974 0.0000
0.0000 0.0000 6.4392
K Ba Te Se
2 1 1 1
Direct
0.0000 0.5000 0.0000 K
0.5000 0.0000 0.0000 K
0.0000 0.0000 0.5624 Ba
0.5000 0.5000 0.6206 Te
0.0000 0.0000 0.0842 Se
```

***

Record 4
Structure and simulated powder diffractogram of KBaZnSe2 (a crystal structure in Alexandria, relaxed with PBE; λ = 1.5418 Å (Cu Kα)).

Most intense lines, 2θ = 10–90°, low angle first:
2θ = 21.41°, 4.150 Å, intensity 36
2θ = 24.34°, 3.656 Å, intensity 100
2θ = 27.60°, 3.232 Å, intensity 48
2θ = 32.51°, 2.754 Å, intensity 27
2θ = 35.60°, 2.522 Å, intensity 35
2θ = 35.90°, 2.501 Å, intensity 23
2θ = 36.89°, 2.437 Å, intensity 29
2θ = 38.58°, 2.334 Å, intensity 30
2θ = 42.07°, 2.148 Å, intensity 17
2θ = 45.08°, 2.011 Å, intensity 23

Atomic structure:
```
KBaZnSe2
1.0
7.8875 0.0000 0.0000
0.0000 5.1368 0.0000
-1.8909 0.0000 8.5913
K Ba Zn Se
2 2 2 4
Direct
0.0000 0.0284 0.2500 K
0.0000 0.9716 0.7500 K
0.5000 0.2807 0.7500 Ba
0.5000 0.7193 0.2500 Ba
0.0000 0.5000 0.0000 Zn
0.0000 0.5000 0.5000 Zn
0.2798 0.2357 0.0368 Se
0.2798 0.7643 0.5368 Se
0.7202 0.2357 0.4632 Se
0.7202 0.7643 0.9632 Se
```

***

Record 5
Structure and simulated powder diffractogram of K2BaSiTe4 (a crystal structure in Alexandria, relaxed with PBE; λ = 1.5418 Å (Cu Kα)).

Most intense lines, 2θ = 10–90°, low angle first:
2θ = 10.44°, 8.474 Å, intensity 37
2θ = 26.52°, 3.362 Å, intensity 63
2θ = 27.38°, 3.258 Å, intensity 100
2θ = 30.82°, 2.901 Å, intensity 17
2θ = 31.68°, 2.825 Å, intensity 21
2θ = 33.75°, 2.656 Å, intensity 20
2θ = 35.51°, 2.528 Å, intensity 18
2θ = 38.48°, 2.339 Å, intensity 69
2θ = 52.67°, 1.738 Å, intensity 18
2θ = 57.15°, 1.612 Å, intensity 19

Atomic structure:
```
K2BaSiTe4
1.0
-4.0606 5.4570 6.7230
4.0606 -5.4570 6.7230
4.0606 5.4570 -6.7230
K Ba Si Te
4 2 2 8
Direct
0.0000 0.0000 0.0000 K
0.5000 0.0000 0.0000 K
0.5000 0.0000 0.5000 K
0.5000 0.5000 0.5000 K
0.0000 0.5000 0.5000 Ba
0.5000 0.5000 0.0000 Ba
0.0000 0.0000 0.5000 Si
0.0000 0.5000 0.0000 Si
0.1781 0.2483 0.9299 Te
0.1816 0.7517 0.4299 Te
0.2269 0.2241 0.4972 Te
0.2269 0.7297 0.0028 Te
0.7731 0.2703 0.9972 Te
0.7731 0.7759 0.5028 Te
0.8184 0.2483 0.5701 Te
0.8219 0.7517 0.0701 Te
```

***

Record 6
Structure and simulated powder diffractogram of KBa2SmTe4 (a crystal structure in Alexandria, relaxed with PBE; λ = 1.5418 Å (Cu Kα)).

Most intense lines, 2θ = 10–90°, low angle first:
2θ = 11.01°, 8.035 Å, intensity 11
2θ = 25.94°, 3.435 Å, intensity 100
2θ = 26.18°, 3.404 Å, intensity 48
2θ = 36.83°, 2.441 Å, intensity 56
2θ = 37.26°, 2.413 Å, intensity 20
2θ = 37.51°, 2.397 Å, intensity 36
2θ = 46.11°, 1.969 Å, intensity 20
2θ = 53.34°, 1.717 Å, intensity 12
2θ = 59.91°, 1.544 Å, intensity 16
2θ = 67.34°, 1.391 Å, intensity 12

Atomic structure:
```
KBa2SmTe4
1.0
8.2871 0.0000 0.0000
0.0000 4.8266 0.0000
-2.7088 0.0000 8.0353
K Ba Sm Te
1 2 1 4
Direct
0.0000 0.0000 0.0000 K
0.5000 0.0000 0.5000 Ba
0.5000 0.5000 0.0000 Ba
0.0000 0.5000 0.5000 Sm
0.2245 0.0000 0.7270 Te
0.2347 0.5000 0.2673 Te
0.7653 0.5000 0.7327 Te
0.7755 0.0000 0.2730 Te
```